No. 1
For NdYO2, the GGA-PBE geometry in the Materials Project gives the computed powder diffractogram in this record (Cu Kα, 1.54184 Å).

Largest 10 diffraction maxima, by angle, 2θ from 10° to 90°:
- 30.1 deg, intensity 33
- 31.5 deg, intensity 83
- 36.2 deg, intensity 100
- 51.2 deg, intensity 34
- 53.0 deg, intensity 33
- 60.5 deg, intensity 15
- 62.1 deg, intensity 27
- 65.8 deg, intensity 16
- 86.5 deg, intensity 14
- 89.3 deg, intensity 14

Cell and atoms:
```
data_NdYO2
_symmetry_space_group_name_H-M 'R -3 m'
_symmetry_Int_Tables_number 166
_symmetry_space_group_name_Hall '-R 3 2"'
_cell_length_a 3.4585
_cell_length_b 3.4585
_cell_length_c 17.7871
_cell_angle_alpha 90.00
_cell_angle_beta 90.00
_cell_angle_gamma 120.00
loop_
_atom_site_label
_atom_site_fract_x
_atom_site_fract_y
_atom_site_fract_z
Nd1 0.0000 0.0000 0.0000
Y1 0.0000 0.0000 0.5000
O1 0.0000 0.0000 0.2343
```



No. 2
For NdY3Zr4O14, the GGA-PBE geometry in the Materials Project gives the computed powder diffractogram in this record (Cu Kα, 1.54184 Å).

Largest 10 diffraction maxima, by angle, 2θ from 10° to 90°:
- 29.3 deg, intensity 100
- 29.6 deg, intensity 33
- 34.0 deg, intensity 33
- 48.7 deg, intensity 38
- 49.1 deg, intensity 37
- 57.8 deg, intensity 14
- 58.0 deg, intensity 28
- 58.4 deg, intensity 13
- 71.6 deg, intensity 11
- 78.9 deg, intensity 11

Cell and atoms:
```
data_NdY3Zr4O14
_symmetry_space_group_name_H-M 'R -3 m'
_symmetry_Int_Tables_number 166
_symmetry_space_group_name_Hall '-R 3 2"'
_cell_length_a 7.4840
_cell_length_b 7.4840
_cell_length_c 18.0966
_cell_angle_alpha 90.00
_cell_angle_beta 90.00
_cell_angle_gamma 120.00
loop_
_atom_site_label
_atom_site_fract_x
_atom_site_fract_y
_atom_site_fract_z
Nd1 0.0000 0.0000 0.0000
Y1 0.0000 0.5000 0.5000
Zr1 0.0000 0.0000 0.5000
Zr2 0.0000 0.5000 0.0000
O1 0.0000 0.0000 0.3773
O2 0.0038 0.5019 0.8732
O3 0.0083 0.5041 0.3745
```



No. 3
For Nd2Zr8O19, the GGA-PBE geometry in the Materials Project gives the computed powder diffractogram in this record (Cu Kα, 1.54184 Å).

Largest 10 diffraction maxima, by angle, 2θ from 10° to 90°:
- 29.4 deg, intensity 100
- 30.2 deg, intensity 99
- 34.0 deg, intensity 14
- 34.8 deg, intensity 33
- 49.0 deg, intensity 21
- 49.4 deg, intensity 63
- 50.9 deg, intensity 18
- 58.6 deg, intensity 37
- 59.9 deg, intensity 26
- 73.4 deg, intensity 11

Cell and atoms:
```
data_Nd2Zr8O19
_symmetry_space_group_name_H-M 'P m m 2'
_symmetry_Int_Tables_number 25
_cell_length_a 3.5850
_cell_length_b 3.7182
_cell_length_c 26.3370
_cell_angle_alpha 90.00
_cell_angle_beta 90.00
_cell_angle_gamma 90.00
loop_
_symmetry_equiv_pos_as_xyz
'x,y,z'
'-x,-y,z'
'-x,y,z'
'x,-y,z'
loop_
_atom_site_label
_atom_site_fract_x
_atom_site_fract_y
_atom_site_fract_z
Nd1 0.0000 0.0000 0.0000
Nd2 0.5000 0.5000 0.1212
Zr1 0.0000 0.0000 0.2208
Zr2 0.0000 0.0000 0.4151
Zr3 0.0000 0.0000 0.6090
Zr4 0.0000 0.0000 0.8038
Zr5 0.5000 0.5000 0.3179
Zr6 0.5000 0.5000 0.5120
Zr7 0.5000 0.5000 0.7064
Zr8 0.5000 0.5000 0.9012
O1 0.0000 0.5000 0.0510
O2 0.0000 0.5000 0.1758
O3 0.0000 0.5000 0.2695
O4 0.0000 0.5000 0.3669
O5 0.0000 0.5000 0.4608
O6 0.0000 0.5000 0.5582
O7 0.0000 0.5000 0.6529
O8 0.0000 0.5000 0.7509
O9 0.0000 0.5000 0.8463
O10 0.0000 0.5000 0.9448
O11 0.5000 0.0000 0.1625
O12 0.5000 0.0000 0.2632
O13 0.5000 0.0000 0.3608
O14 0.5000 0.0000 0.4609
O15 0.5000 0.0000 0.5573
O16 0.5000 0.0000 0.6575
O17 0.5000 0.0000 0.7538
O18 0.5000 0.0000 0.8537
O19 0.5000 0.0000 0.9490
```



No. 4
For Nd3Os, the GGA-PBE geometry in the Materials Project gives the computed powder diffractogram in this record (Cu Kα, 1.54184 Å).

Largest 10 diffraction maxima, by angle, 2θ from 10° to 90°:
- 29.0 deg, intensity 36
- 30.2 deg, intensity 50
- 31.1 deg, intensity 58
- 31.3 deg, intensity 90
- 33.2 deg, intensity 100
- 33.4 deg, intensity 72
- 36.9 deg, intensity 48
- 37.7 deg, intensity 37
- 47.4 deg, intensity 36
- 56.9 deg, intensity 37

Cell and atoms:
```
data_Nd3Os
_symmetry_space_group_name_H-M 'P n m a'
_symmetry_Int_Tables_number 62
_cell_length_a 7.5094
_cell_length_b 9.6092
_cell_length_c 6.5394
_cell_angle_alpha 90.00
_cell_angle_beta 90.00
_cell_angle_gamma 90.00
loop_
_symmetry_equiv_pos_as_xyz
'x,y,z'
'-x,-y,-z'
'-x+1/2,-y,z+1/2'
'x+1/2,y,-z+1/2'
'x+1/2,-y+1/2,-z+1/2'
'-x+1/2,y+1/2,z+1/2'
'-x,y+1/2,-z'
'x,-y+1/2,z'
loop_
_atom_site_label
_atom_site_fract_x
_atom_site_fract_y
_atom_site_fract_z
Nd1 0.0410 0.2500 0.1393
Nd2 0.1744 0.0663 0.6715
Os1 0.1146 0.7500 0.4512
```



No. 5
For NdSb12Os4, the GGA-PBE geometry in the Materials Project gives the computed powder diffractogram in this record (Cu Kα, 1.54184 Å).

Largest 10 diffraction maxima, by angle, 2θ from 10° to 90°:
- 18.8 deg, intensity 28
- 26.7 deg, intensity 30
- 30.0 deg, intensity 100
- 35.6 deg, intensity 47
- 42.9 deg, intensity 52
- 47.2 deg, intensity 61
- 49.3 deg, intensity 29
- 62.3 deg, intensity 16
- 67.3 deg, intensity 18
- 87.8 deg, intensity 25

Cell and atoms:
```
data_NdSb12Os4
_symmetry_space_group_name_H-M 'I m -3'
_symmetry_Int_Tables_number 204
_symmetry_space_group_name_Hall '-I 2 2 3'
_cell_length_a 9.4313
_cell_length_b 9.4313
_cell_length_c 9.4313
_cell_angle_alpha 90.00
_cell_angle_beta 90.00
_cell_angle_gamma 90.00
loop_
_atom_site_label
_atom_site_fract_x
_atom_site_fract_y
_atom_site_fract_z
Nd1 0.0000 0.0000 0.0000
Sb1 0.0000 0.1566 0.3390
Os1 0.2500 0.2500 0.2500
```



No. 6
For NdP5, the GGA-PBE geometry in the Materials Project gives the computed powder diffractogram in this record (Cu Kα, 1.54184 Å).

Largest 10 diffraction maxima, by angle, 2θ from 10° to 90°:
- 18.5 deg, intensity 29
- 19.0 deg, intensity 46
- 23.7 deg, intensity 63
- 25.9 deg, intensity 100
- 27.0 deg, intensity 37
- 28.6 deg, intensity 51
- 28.7 deg, intensity 46
- 32.6 deg, intensity 34
- 34.8 deg, intensity 47
- 45.0 deg, intensity 29

Cell and atoms:
```
data_NdP5
_symmetry_space_group_name_H-M 'P 1 21/m 1'
_symmetry_Int_Tables_number 11
_cell_length_a 5.0546
_cell_length_b 9.5985
_cell_length_c 5.4699
_cell_angle_alpha 90.00
_cell_angle_beta 102.04
_cell_angle_gamma 90.00
loop_
_symmetry_equiv_pos_as_xyz
'x,y,z'
'-x,-y,-z'
'-x,y+1/2,-z'
'x,-y+1/2,z'
loop_
_atom_site_label
_atom_site_fract_x
_atom_site_fract_y
_atom_site_fract_z
Nd1 0.0079 0.2500 0.3480
P1 0.2887 0.2500 0.8995
P2 0.2928 0.5298 0.4029
P3 0.3851 0.5907 0.0477
```



No. 7
For NdP2, the GGA-PBE geometry in the Materials Project gives the computed powder diffractogram in this record (Cu Kα, 1.54184 Å).

Largest 10 diffraction maxima, by angle, 2θ from 10° to 90°:
- 22.7 deg, intensity 95
- 22.9 deg, intensity 38
- 25.2 deg, intensity 42
- 27.1 deg, intensity 43
- 28.6 deg, intensity 99
- 30.6 deg, intensity 36
- 35.3 deg, intensity 86
- 35.9 deg, intensity 100
- 40.4 deg, intensity 42
- 50.1 deg, intensity 35

Cell and atoms:
```
data_NdP2
_symmetry_space_group_name_H-M 'P 1 21/c 1'
_symmetry_Int_Tables_number 14
_cell_length_a 4.0265
_cell_length_b 6.5840
_cell_length_c 10.1470
_cell_angle_alpha 90.00
_cell_angle_beta 105.64
_cell_angle_gamma 90.00
loop_
_symmetry_equiv_pos_as_xyz
'x,y,z'
'-x,-y,-z'
'-x,y+1/2,-z+1/2'
'x,-y+1/2,z+1/2'
loop_
_atom_site_label
_atom_site_fract_x
_atom_site_fract_y
_atom_site_fract_z
Nd1 0.0811 0.1840 0.3587
P1 0.3023 0.6210 0.4537
P2 0.4651 0.1612 0.6638
```



No. 8
For NdP2Pd2, the GGA-PBE geometry in the Materials Project gives the computed powder diffractogram in this record (Cu Kα, 1.54184 Å).

Largest 10 diffraction maxima, by angle, 2θ from 10° to 90°:
- 23.1 deg, intensity 19
- 34.5 deg, intensity 24
- 35.4 deg, intensity 100
- 35.9 deg, intensity 16
- 43.5 deg, intensity 36
- 56.6 deg, intensity 12
- 57.6 deg, intensity 16
- 63.1 deg, intensity 12
- 64.2 deg, intensity 14
- 74.5 deg, intensity 22

Cell and atoms:
```
data_NdP2Pd2
_symmetry_space_group_name_H-M 'I 4/m m m'
_symmetry_Int_Tables_number 139
_symmetry_space_group_name_Hall '-I 4 2'
_cell_length_a 4.1650
_cell_length_b 4.1650
_cell_length_c 10.0001
_cell_angle_alpha 90.00
_cell_angle_beta 90.00
_cell_angle_gamma 90.00
loop_
_atom_site_label
_atom_site_fract_x
_atom_site_fract_y
_atom_site_fract_z
Nd1 0.0000 0.0000 0.0000
P1 0.0000 0.0000 0.3872
Pd1 0.0000 0.5000 0.2500
```



No. 9
For Nd3P6Pd20, the GGA-PBE geometry in the Materials Project gives the computed powder diffractogram in this record (Cu Kα, 1.54184 Å).

Largest 10 diffraction maxima, by angle, 2θ from 10° to 90°:
- 32.3 deg, intensity 24
- 35.5 deg, intensity 31
- 37.8 deg, intensity 100
- 41.2 deg, intensity 31
- 43.2 deg, intensity 23
- 48.8 deg, intensity 12
- 63.8 deg, intensity 29
- 65.3 deg, intensity 14
- 75.2 deg, intensity 18
- 76.6 deg, intensity 10

Cell and atoms:
```
data_Nd3P6Pd20
_symmetry_space_group_name_H-M 'F m -3 m'
_symmetry_Int_Tables_number 225
_symmetry_space_group_name_Hall '-F 4 2 3'
_cell_length_a 12.3820
_cell_length_b 12.3820
_cell_length_c 12.3820
_cell_angle_alpha 90.00
_cell_angle_beta 90.00
_cell_angle_gamma 90.00
loop_
_atom_site_label
_atom_site_fract_x
_atom_site_fract_y
_atom_site_fract_z
Nd1 0.0000 0.0000 0.0000
Nd2 0.2500 0.2500 0.2500
P1 0.0000 0.0000 0.2617
Pd1 0.0000 0.1736 0.1736
Pd2 0.1137 0.1137 0.3863
```